No. 1
Diffraction record for Ac6CoTc. The powder X-ray diffraction pattern is simulated, not measured: it uses a structure optimized by DFT (GGA-PBE) and Cu Kα (weighted mean of Kα1 and Kα2).
No peak broadening, texture or thermal motion is included.

Structural model:
a = 7.174 Å, b = 7.180 Å, c = 8.047 Å
α = 90.02°, β = 116.45°, γ = 119.96°
Fractional coordinates of all 8 atoms:
Ac  0.004  0.412  0.250
Ac  0.338  0.093  0.251
Ac  0.342  0.255  0.751
Ac  0.658  0.745  0.249
Ac  0.662  0.907  0.749
Ac  0.996  0.588  0.750
Co  0.500  0.500  0.500
Tc  0.500  0.000  0.000

Main lines, by angle (10° ≤ 2θ ≤ 90°):
- 24.8 deg, I 13
- 25.8 deg, I 21
- 28.0 deg, I 100
- 36.1 deg, I 27
- 43.7 deg, I 26
- 46.9 deg, I 25
- 51.4 deg, I 20
- 52.7 deg, I 12
- 70.8 deg, I 9
- 71.1 deg, I 12

---

No. 2
Diffraction record for AcThCo4. The powder X-ray diffraction pattern is simulated, not measured: it uses a structure optimized by DFT (GGA-PBE) and Cu Kα (weighted mean of Kα1 and Kα2).
No peak broadening, texture or thermal motion is included.

Structural model:
a = 5.776 Å, b = 5.776 Å, c = 5.776 Å
α = 139.94°, β = 105.69°, γ = 87.95°
Fractional coordinates of all 6 atoms:
Ac  0.000  0.000  0.000
Th  0.500  0.500  0.000
Co  0.094  0.759  0.335
Co  0.425  0.759  0.665
Co  0.575  0.241  0.335
Co  0.906  0.241  0.665

Main lines, by angle (10° ≤ 2θ ≤ 90°):
- 25.5 deg, I 16
- 25.9 deg, I 30
- 33.5 deg, I 50
- 33.8 deg, I 100
- 43.5 deg, I 18
- 45.2 deg, I 33
- 45.9 deg, I 16
- 57.3 deg, I 11
- 58.0 deg, I 21
- 64.6 deg, I 22

---

No. 3
Diffraction record for Ac7Tl2Co2. The powder X-ray diffraction pattern is simulated, not measured: it uses a structure optimized by DFT (GGA-PBE) and Cu Kα (weighted mean of Kα1 and Kα2).
No peak broadening, texture or thermal motion is included.

Structural model:
a = 10.175 Å, b = 10.175 Å, c = 10.175 Å
α = 156.34°, β = 70.70°, γ = 114.49°
Fractional coordinates of all 11 atoms:
Ac  0.000  0.000  0.000
Ac  0.290  0.391  0.898
Ac  0.305  0.633  0.672
Ac  0.493  0.391  0.102
Ac  0.587  0.200  0.387
Ac  0.813  0.200  0.613
Ac  0.961  0.633  0.328
Tl  0.128  0.904  0.224
Tl  0.680  0.904  0.776
Co  0.202  0.702  0.500
Co  0.631  0.631  0.000

Main lines, by angle (10° ≤ 2θ ≤ 90°):
- 24.8 deg, I 21
- 25.2 deg, I 17
- 27.4 deg, I 75
- 28.1 deg, I 41
- 31.4 deg, I 100
- 32.5 deg, I 31
- 34.3 deg, I 24
- 36.5 deg, I 18
- 43.4 deg, I 23
- 51.8 deg, I 18

---

No. 4
Diffraction record for Ac10Tl4Co3. The powder X-ray diffraction pattern is simulated, not measured: it uses a structure optimized by DFT (GGA-PBE) and Cu Kα (weighted mean of Kα1 and Kα2).
No peak broadening, texture or thermal motion is included.

Structural model:
a = 20.022 Å, b = 20.022 Å, c = 20.022 Å
α = 164.15°, β = 164.15°, γ = 22.48°
Fractional coordinates of all 17 atoms:
Ac  0.000  0.500  0.500
Ac  0.071  0.071  0.000
Ac  0.141  0.641  0.500
Ac  0.218  0.218  0.000
Ac  0.359  0.859  0.500
Ac  0.500  0.000  0.500
Ac  0.641  0.141  0.500
Ac  0.782  0.782  0.000
Ac  0.859  0.359  0.500
Ac  0.929  0.929  0.000
Tl  0.302  0.302  0.000
Tl  0.430  0.430  0.000
Tl  0.570  0.570  0.000
Tl  0.698  0.698  0.000
Co  0.000  0.000  0.000
Co  0.142  0.142  0.000
Co  0.858  0.858  0.000

Main lines, by angle (10° ≤ 2θ ≤ 90°):
- 26.6 deg, I 74
- 29.2 deg, I 100
- 31.9 deg, I 38
- 32.4 deg, I 94
- 46.1 deg, I 57
- 46.5 deg, I 35
- 54.4 deg, I 22
- 55.9 deg, I 34
- 57.5 deg, I 30
- 86.1 deg, I 20

---

No. 5
Diffraction record for Ac6Tl6Co. The powder X-ray diffraction pattern is simulated, not measured: it uses a structure optimized by DFT (GGA-PBE) and Cu Kα (weighted mean of Kα1 and Kα2).
No peak broadening, texture or thermal motion is included.

Structural model:
a = 6.890 Å, b = 6.890 Å, c = 11.325 Å
α = 90.00°, β = 90.00°, γ = 117.56°
Fractional coordinates of all 13 atoms:
Ac  0.000  0.000  0.235
Ac  0.000  0.000  0.765
Ac  0.323  0.677  0.000
Ac  0.330  0.670  0.500
Ac  0.670  0.330  0.500
Ac  0.677  0.323  0.000
Tl  0.000  0.500  0.256
Tl  0.000  0.500  0.744
Tl  0.500  0.000  0.256
Tl  0.500  0.000  0.744
Tl  0.500  0.500  0.252
Tl  0.500  0.500  0.748
Co  0.000  0.000  0.000

Main lines, by angle (10° ≤ 2θ ≤ 90°):
- 15.6 deg, I 17
- 25.9 deg, I 21
- 29.2 deg, I 23
- 30.4 deg, I 39
- 31.6 deg, I 43
- 33.3 deg, I 100
- 34.3 deg, I 38
- 53.2 deg, I 21
- 57.4 deg, I 23
- 63.2 deg, I 24

---

No. 6
Diffraction record for AcVCo. The powder X-ray diffraction pattern is simulated, not measured: it uses a structure optimized by DFT (GGA-PBE) and Cu Kα (weighted mean of Kα1 and Kα2).
No peak broadening, texture or thermal motion is included.

Structural model:
a = 3.427 Å, b = 3.427 Å, c = 10.800 Å
α = 90.00°, β = 90.00°, γ = 90.15°
Fractional coordinates of all 6 atoms:
Ac  0.000  0.000  0.173
Ac  0.000  0.000  0.827
V  0.500  0.500  0.409
V  0.500  0.500  0.591
Co  0.000  0.000  0.500
Co  0.500  0.500  0.000

Main lines, by angle (10° ≤ 2θ ≤ 90°):
- 24.7 deg, I 35
- 26.0 deg, I 40
- 30.9 deg, I 38
- 36.2 deg, I 100
- 37.0 deg, I 31
- 37.2 deg, I 31
- 45.1 deg, I 30
- 53.5 deg, I 21
- 57.9 deg, I 21
- 66.2 deg, I 17

---

No. 7
Diffraction record for Ac3Zn3Co. The powder X-ray diffraction pattern is simulated, not measured: it uses a structure optimized by DFT (GGA-PBE) and Cu Kα (weighted mean of Kα1 and Kα2).
No peak broadening, texture or thermal motion is included.

Structural model:
a = 10.311 Å, b = 10.311 Å, c = 10.311 Å
α = 156.20°, β = 154.46°, γ = 35.19°
Fractional coordinates of all 7 atoms:
Ac  0.000  0.000  0.000
Ac  0.362  0.362  0.000
Ac  0.693  0.193  0.500
Zn  0.131  0.631  0.500
Zn  0.554  0.554  0.000
Zn  0.817  0.817  0.000
Co  0.259  0.759  0.500

Main lines, by angle (10° ≤ 2θ ≤ 90°):
- 23.8 deg, I 55
- 27.2 deg, I 24
- 30.1 deg, I 100
- 31.0 deg, I 62
- 34.1 deg, I 36
- 37.6 deg, I 19
- 39.5 deg, I 29
- 42.5 deg, I 24
- 46.1 deg, I 20
- 51.1 deg, I 31

---

No. 8
Diffraction record for Ac5Zn5Co2. The powder X-ray diffraction pattern is simulated, not measured: it uses a structure optimized by DFT (GGA-PBE) and Cu Kα (weighted mean of Kα1 and Kα2).
No peak broadening, texture or thermal motion is included.

Structural model:
a = 8.687 Å, b = 8.687 Å, c = 12.149 Å
α = 130.03°, β = 130.03°, γ = 28.00°
Fractional coordinates of all 12 atoms:
Ac  0.000  0.000  0.000
Ac  0.301  0.301  0.416
Ac  0.384  0.384  0.190
Ac  0.616  0.616  0.810
Ac  0.699  0.699  0.584
Zn  0.000  0.000  0.500
Zn  0.069  0.069  0.316
Zn  0.295  0.295  0.848
Zn  0.705  0.705  0.152
Zn  0.931  0.931  0.684
Co  0.383  0.383  0.734
Co  0.617  0.617  0.266

Main lines, by angle (10° ≤ 2θ ≤ 90°):
- 23.6 deg, I 43
- 27.1 deg, I 40
- 30.1 deg, I 100
- 31.8 deg, I 66
- 32.8 deg, I 40
- 33.0 deg, I 55
- 33.2 deg, I 49
- 37.7 deg, I 56
- 43.0 deg, I 39
- 54.5 deg, I 37

---

No. 9
Diffraction record for Ac4ZnCo. The powder X-ray diffraction pattern is simulated, not measured: it uses a structure optimized by DFT (GGA-PBE) and Cu Kα (weighted mean of Kα1 and Kα2).
No peak broadening, texture or thermal motion is included.

Structural model:
a = 6.681 Å, b = 7.509 Å, c = 8.625 Å
α = 90.00°, β = 109.44°, γ = 90.00°
Fractional coordinates of all 12 atoms:
Ac  0.016  0.003  0.223
Ac  0.016  0.497  0.223
Ac  0.438  0.250  0.628
Ac  0.459  0.250  0.093
Ac  0.541  0.750  0.907
Ac  0.562  0.750  0.372
Ac  0.984  0.503  0.777
Ac  0.984  0.997  0.777
Zn  0.190  0.750  0.548
Zn  0.810  0.250  0.452
Co  0.209  0.750  0.054
Co  0.791  0.250  0.946

Main lines, by angle (10° ≤ 2θ ≤ 90°):
- 24.9 deg, I 23
- 27.7 deg, I 100
- 28.3 deg, I 32
- 29.5 deg, I 23
- 29.9 deg, I 29
- 31.9 deg, I 27
- 32.2 deg, I 26
- 32.4 deg, I 33
- 32.5 deg, I 36
- 48.5 deg, I 31

---

No. 10
Diffraction record for Ac4ZnCo. The powder X-ray diffraction pattern is simulated, not measured: it uses a structure optimized by DFT (GGA-PBE) and Cu Kα (weighted mean of Kα1 and Kα2).
No peak broadening, texture or thermal motion is included.

Structural model:
a = 9.166 Å, b = 9.166 Å, c = 7.233 Å
α = 108.33°, β = 108.33°, γ = 116.84°
Fractional coordinates of all 12 atoms:
Ac  0.051  0.637  0.843
Ac  0.198  0.280  0.726
Ac  0.280  0.198  0.226
Ac  0.363  0.949  0.657
Ac  0.637  0.051  0.343
Ac  0.720  0.802  0.774
Ac  0.802  0.720  0.274
Ac  0.949  0.363  0.157
Zn  0.378  0.622  0.250
Zn  0.622  0.378  0.750
Co  0.079  0.921  0.750
Co  0.921  0.079  0.250

Main lines, by angle (10° ≤ 2θ ≤ 90°):
- 23.2 deg, I 34
- 24.9 deg, I 32
- 25.1 deg, I 70
- 27.6 deg, I 82
- 29.0 deg, I 29
- 29.5 deg, I 100
- 30.9 deg, I 54
- 34.1 deg, I 33
- 44.4 deg, I 35
- 49.3 deg, I 30